Structure and calculated powder diffractogram of CsLiSc2S4 (a crystal structure in Alexandria, relaxed with GGA-PBE; copper Kα).
Intensities are scaled so that the largest is 100.

Peak list (10 most intense, 10 to 90 degrees two-theta, in order of rising 2θ)
- (0 2 3), 23.68°, rel. 69
- (1 1 1), 24.60°, rel. 26
- (0 0 4), 26.17°, rel. 22
- (1 1 2), 27.12°, rel. 24
- (0 4 2), 29.73°, rel. 22
- (1 3 1), 31.10°, rel. 100
- (1 3 2), 33.17°, rel. 39
- (1 1 5), 40.93°, rel. 24
- (1 3 5), 45.37°, rel. 33
- (2 0 0), 46.43°, rel. 22

Cell and atoms:
a b c (Å): 3.9111 13.3970 13.6204
angles (deg): 90.00 90.00 90.00
Space group Cmcm (No. 63)
Symmetry-distinct sites (fractional):
Cs  0.0000  0.1053  0.2500 (multiplicity 4)
Li  0.0000  0.1794  0.7500 (multiplicity 4)
Sc  0.0000  0.3653  0.0607 (multiplicity 8)
S  0.0000  0.0000  0.0000 (multiplicity 4)
S  0.0000  0.2553  0.5964 (multiplicity 8)
S  0.0000  0.4087  0.2500 (multiplicity 4)